Entry 1:
Starting from a DFT-relaxed cell (PBE+U, Alexandria), the X-ray diffraction stick pattern of LiMn5O5F was simulated for Cu Ka.
Intensities are scaled so that the largest is 100.

Atomic structure:
Cell: 3.6467 3.6467 13.2490 Å, 90.00 90.00 120.00°
Space group P3m1 (No. 156)
Symmetry-distinct sites (fractional):
Li 0.0000 0.0000 0.0000 x1
Mn 0.0000 0.0000 0.3381 x1
Mn 0.0000 0.0000 0.6652 x1
Mn 0.6667 0.3333 0.1684 x1
Mn 0.6667 0.3333 0.5009 x1
Mn 0.6667 0.3333 0.8289 x1
O 0.0000 0.0000 0.1626 x1
O 0.0000 0.0000 0.5017 x1
O 0.0000 0.0000 0.8360 x1
O 0.6667 0.3333 0.3407 x1
O 0.6667 0.3333 0.6580 x1
F 0.6667 0.3333 0.9982 x1

Peak list (12 most intense, 10° ≤ 2θ ≤ 80°, by angle)
- 6.625 Å, 2θ = 13.37°, rel. 9
- 3.158 Å, 2θ = 28.26°, rel. 100
- 3.072 Å, 2θ = 29.07°, rel. 12
- 2.569 Å, 2θ = 34.93°, rel. 70
- 2.208 Å, 2θ = 40.87°, rel. 42
- 1.823 Å, 2θ = 50.02°, rel. 66
- 1.810 Å, 2θ = 50.43°, rel. 33
- 1.579 Å, 2θ = 58.45°, rel. 10
- 1.487 Å, 2θ = 62.46°, rel. 13
- 1.406 Å, 2θ = 66.50°, rel. 48
- 1.334 Å, 2θ = 70.59°, rel. 9
- 1.284 Å, 2θ = 73.77°, rel. 9

---

Entry 2:
Starting from a DFT-relaxed cell (PBE+U, Alexandria), the X-ray diffraction stick pattern of BaMo2AsO8 was simulated for Cu Ka.
Intensities are scaled so that the largest is 100.

Atomic structure:
Cell: 5.2593 5.2593 24.5309 Å, 90.00 90.00 120.00°
Space group R32 (No. 155, hexagonal axes)
Symmetry-distinct sites (fractional):
Ba 0.0000 0.0000 0.0000 x3
Mo 0.0000 0.0000 0.2453 x6
As 0.0000 0.0000 0.5000 x3
O 0.0000 0.0000 0.3189 x6
O 0.0084 0.3512 0.1093 x18

Peak list (12 most intense, 10° ≤ 2θ ≤ 80°, by angle)
- 3.657 Å, 2θ = 24.34°, rel. 100
- 2.630 Å, 2θ = 34.10°, rel. 41
- 2.544 Å, 2θ = 35.29°, rel. 31
- 2.135 Å, 2θ = 42.34°, rel. 21
- 1.828 Å, 2θ = 49.88°, rel. 12
- 1.657 Å, 2θ = 55.44°, rel. 20
- 1.614 Å, 2θ = 57.07°, rel. 20
- 1.518 Å, 2θ = 61.03°, rel. 12
- 1.501 Å, 2θ = 61.80°, rel. 13
- 1.453 Å, 2θ = 64.09°, rel. 7
- 1.237 Å, 2θ = 77.08°, rel. 8
- 1.219 Å, 2θ = 78.47°, rel. 7

---

Copy entry 1 word for word.
Starting from a DFT-relaxed cell (PBE+U, Alexandria), the X-ray diffraction stick pattern of LiMn5O5F was simulated for Cu Ka.
Intensities are scaled so that the largest is 100.

Atomic structure:
Cell: 3.6467 3.6467 13.2490 Å, 90.00 90.00 120.00°
Space group P3m1 (No. 156)
Symmetry-distinct sites (fractional):
Li 0.0000 0.0000 0.0000 x1
Mn 0.0000 0.0000 0.3381 x1
Mn 0.0000 0.0000 0.6652 x1
Mn 0.6667 0.3333 0.1684 x1
Mn 0.6667 0.3333 0.5009 x1
Mn 0.6667 0.3333 0.8289 x1
O 0.0000 0.0000 0.1626 x1
O 0.0000 0.0000 0.5017 x1
O 0.0000 0.0000 0.8360 x1
O 0.6667 0.3333 0.3407 x1
O 0.6667 0.3333 0.6580 x1
F 0.6667 0.3333 0.9982 x1

Peak list (12 most intense, 10° ≤ 2θ ≤ 80°, by angle)
- 6.625 Å, 2θ = 13.37°, rel. 9
- 3.158 Å, 2θ = 28.26°, rel. 100
- 3.072 Å, 2θ = 29.07°, rel. 12
- 2.569 Å, 2θ = 34.93°, rel. 70
- 2.208 Å, 2θ = 40.87°, rel. 42
- 1.823 Å, 2θ = 50.02°, rel. 66
- 1.810 Å, 2θ = 50.43°, rel. 33
- 1.579 Å, 2θ = 58.45°, rel. 10
- 1.487 Å, 2θ = 62.46°, rel. 13
- 1.406 Å, 2θ = 66.50°, rel. 48
- 1.334 Å, 2θ = 70.59°, rel. 9
- 1.284 Å, 2θ = 73.77°, rel. 9